SnGe2Br6: theoretical powder XRD pattern (Cu Kα (weighted mean of Kα1 and Kα2)), based on DFT lattice parameters and positions (PBE).
Lines closer than 0.1° are merged.

Peak list (6 most intense, 2θ = 10–90°, by angle)
- 12.7°, I = 48, (2 0 -1)
- 25.0°, I = 18, (4 0 1)
- 30.0°, I = 100, (1 1 -2)
- 42.7°, I = 25, (7 1 -2)
- 43.3°, I = 23, (5 1 2)
- 53.8°, I = 13, (6 2 0)

Structure:
```
data_SnGe2Br6
_cell_length_a 18.416
_cell_length_b 4.154
_cell_length_c 8.539
_cell_angle_alpha 90.00
_cell_angle_beta 104.47
_cell_angle_gamma 90.00
_symmetry_space_group_name_H-M 'C 1 2/m 1'
_symmetry_Int_Tables_number 12
_symmetry_space_group_name_Hall '-C 2y'
loop_
_atom_site_label
_atom_site_fract_x
_atom_site_fract_y
_atom_site_fract_z
Sn1 0.000 0.000 0.000
Ge1 0.170 0.500 0.339
Br1 0.007 0.500 0.257
Br2 0.170 0.000 0.110
Br3 0.173 0.000 0.573
```

---

Sn2Ge2Br: theoretical powder XRD pattern (Cu Kα (weighted mean of Kα1 and Kα2)), based on DFT lattice parameters and positions (PBE).
Lines closer than 0.1° are merged.

Peak list (6 most intense, 2θ = 10–90°, by angle)
- 30.7°, I = 100, (1 1 2)
- 32.6°, I = 30, (1 0 3)
- 35.1°, I = 77, (2 0 0)
- 44.7°, I = 34, (1 1 4)
- 50.4°, I = 27, (2 2 0)
- 60.2°, I = 30, (3 1 2)

Structure:
```
data_Sn2Ge2Br
_cell_length_a 5.120
_cell_length_b 5.120
_cell_length_c 9.776
_cell_angle_alpha 90.00
_cell_angle_beta 90.00
_cell_angle_gamma 90.00
_symmetry_space_group_name_H-M 'I 4/m m m'
_symmetry_Int_Tables_number 139
_symmetry_space_group_name_Hall '-I 4 2'
loop_
_atom_site_label
_atom_site_fract_x
_atom_site_fract_y
_atom_site_fract_z
Sn1 0.000 0.500 0.250
Ge1 0.000 0.000 0.126
Br1 0.000 0.000 0.500
```

---

TlSnGeBr5: theoretical powder XRD pattern (Cu Kα (weighted mean of Kα1 and Kα2)), based on DFT lattice parameters and positions (PBE).
Lines closer than 0.1° are merged.

Peak list (6 most intense, 2θ = 10–90°, by angle)
- 17.0°, I = 100, (1 1 1)
- 19.8°, I = 82, (2 0 -2)
- 24.5°, I = 66, (1 1 2)
- 24.9°, I = 96, (1 3 -1)
- 27.3°, I = 71, (3 1 -2)
- 30.6°, I = 76, (2 0 2)

Structure:
```
data_TlSnGeBr5
_cell_length_a 10.553
_cell_length_b 11.721
_cell_length_c 10.817
_cell_angle_alpha 90.00
_cell_angle_beta 113.78
_cell_angle_gamma 90.00
_symmetry_space_group_name_H-M 'C 1 2/c 1'
_symmetry_Int_Tables_number 15
_symmetry_space_group_name_Hall '-C 2yc'
loop_
_atom_site_label
_atom_site_fract_x
_atom_site_fract_y
_atom_site_fract_z
Tl1 0.000 0.067 0.250
Sn1 0.250 0.250 0.000
Ge1 0.000 0.484 0.250
Br1 0.000 0.214 0.750
Br2 0.029 0.334 0.090
Br3 0.213 0.013 0.084
```

---

Sr5GeBr5: theoretical powder XRD pattern (Cu Kα (weighted mean of Kα1 and Kα2)), based on DFT lattice parameters and positions (PBE).
Lines closer than 0.1° are merged.

Peak list (6 most intense, 2θ = 10–90°, by angle)
- 27.4°, I = 100, (4 0 -2)
- 27.6°, I = 100, (2 0 2)
- 28.2°, I = 100, (0 2 0)
- 39.7°, I = 73, (4 2 -2)
- 39.8°, I = 74, (2 2 2)
- 49.3°, I = 40, (2 2 -4)

Structure:
```
data_Sr5GeBr5
_cell_length_a 14.630
_cell_length_b 6.331
_cell_length_c 9.099
_cell_angle_alpha 90.00
_cell_angle_beta 108.45
_cell_angle_gamma 90.00
_symmetry_space_group_name_H-M 'C 1 2/m 1'
_symmetry_Int_Tables_number 12
_symmetry_space_group_name_Hall '-C 2y'
loop_
_atom_site_label
_atom_site_fract_x
_atom_site_fract_y
_atom_site_fract_z
Sr1 0.000 0.000 0.000
Sr2 0.152 0.500 0.315
Sr3 0.152 0.500 0.839
Ge1 0.000 0.500 0.000
Br1 0.000 0.500 0.500
Br2 0.174 0.000 0.834
Br3 0.186 0.000 0.341
```

---

Sr4Ge2Br5: theoretical powder XRD pattern (Cu Kα (weighted mean of Kα1 and Kα2)), based on DFT lattice parameters and positions (PBE).
Lines closer than 0.1° are merged.

Peak list (6 most intense, 2θ = 10–90°, by angle)
- 10.2°, I = 56, (0 0 1)
- 12.5°, I = 36, (2 0 1)
- 24.7°, I = 29, (3 1 -1)
- 28.8°, I = 100, (1 1 -2)
- 30.8°, I = 31, (8 0 1)
- 39.8°, I = 40, (9 1 -1)

Structure:
```
data_Sr4Ge2Br5
_cell_length_a 24.698
_cell_length_b 4.504
_cell_length_c 8.657
_cell_angle_alpha 90.00
_cell_angle_beta 90.48
_cell_angle_gamma 90.00
_symmetry_space_group_name_H-M 'C 1 2/m 1'
_symmetry_Int_Tables_number 12
_symmetry_space_group_name_Hall '-C 2y'
loop_
_atom_site_label
_atom_site_fract_x
_atom_site_fract_y
_atom_site_fract_z
Sr1 0.019 0.000 0.237
Sr2 0.172 0.500 0.069
Ge1 0.046 0.500 0.974
Br1 0.000 0.500 0.500
Br2 0.141 0.000 0.298
Br3 0.206 0.000 0.847
```

---

Sr4GeBr3: theoretical powder XRD pattern (Cu Kα (weighted mean of Kα1 and Kα2)), based on DFT lattice parameters and positions (PBE).
Lines closer than 0.1° are merged.

Peak list (6 most intense, 2θ = 10–90°, by angle)
- 27.3°, I = 100, (1 2 1)
- 27.5°, I = 50, (2 0 -2)
- 38.8°, I = 56, (1 2 -3)
- 39.0°, I = 18, (2 0 2)
- 39.3°, I = 35, (3 2 -1)
- 48.2°, I = 18, (2 4 -2)

Structure:
```
data_Sr4GeBr3
_cell_length_a 7.904
_cell_length_b 9.270
_cell_length_c 8.034
_cell_angle_alpha 90.00
_cell_angle_beta 109.24
_cell_angle_gamma 90.00
_symmetry_space_group_name_H-M 'P 1 2/c 1'
_symmetry_Int_Tables_number 13
_symmetry_space_group_name_Hall '-P 2yc'
loop_
_atom_site_label
_atom_site_fract_x
_atom_site_fract_y
_atom_site_fract_z
Sr1 0.223 0.106 0.001
Sr2 0.234 0.359 0.480
Ge1 0.000 0.131 0.250
Br1 0.000 0.379 0.750
Br2 0.500 0.140 0.750
Br3 0.500 0.393 0.250
```

---

SrGe5Br12: theoretical powder XRD pattern (Cu Kα (weighted mean of Kα1 and Kα2)), based on DFT lattice parameters and positions (PBE).
Lines closer than 0.1° are merged.

Peak list (6 most intense, 2θ = 10–90°, by angle)
- 12.5°, I = 77, (0 0 2)
- 27.8°, I = 100, (1 3 2)
- 31.3°, I = 74, (1 3 -3)
- 35.7°, I = 32, (2 0 4)
- 40.6°, I = 41, (1 3 -5)
- 44.1°, I = 51, (3 3 -1)

Structure:
```
data_SrGe5Br12
_cell_length_a 7.184
_cell_length_b 12.476
_cell_length_c 14.112
_cell_angle_alpha 90.00
_cell_angle_beta 90.08
_cell_angle_gamma 90.00
_symmetry_space_group_name_H-M 'C 1 2/m 1'
_symmetry_Int_Tables_number 12
_symmetry_space_group_name_Hall '-C 2y'
loop_
_atom_site_label
_atom_site_fract_x
_atom_site_fract_y
_atom_site_fract_z
Sr1 0.000 0.000 0.000
Ge1 0.000 0.167 0.500
Ge2 0.000 0.333 0.000
Ge3 0.000 0.500 0.500
Br1 0.144 0.500 0.116
Br2 0.166 0.000 0.389
Br3 0.166 0.333 0.389
Br4 0.178 0.178 0.116
```

---

Tb7GeBr12: theoretical powder XRD pattern (Cu Kα (weighted mean of Kα1 and Kα2)), based on DFT lattice parameters and positions (PBE).
Lines closer than 0.1° are merged.

Peak list (6 most intense, 2θ = 10–90°, by angle)
- 11.9°, I = 34, (1 1 0)
- 30.9°, I = 100, (3 1 2)
- 43.9°, I = 36, (2 5 0)
- 44.6°, I = 36, (4 -3 4)
- 54.6°, I = 19, (8 -6 2)
- 72.6°, I = 16, (5 6 2)

Structure:
```
data_Tb7GeBr12
_cell_length_a 14.8714
_cell_length_b 14.8714
_cell_length_c 9.8765
_cell_angle_alpha 90.00
_cell_angle_beta 90.00
_cell_angle_gamma 120.00
_symmetry_space_group_name_H-M 'R -3'
_symmetry_Int_Tables_number 148
_symmetry_space_group_name_Hall '-R 3'
loop_
_atom_site_label
_atom_site_fract_x
_atom_site_fract_y
_atom_site_fract_z
Tb1 0.0000 0.0000 0.0000
Tb2 0.0473 0.1690 0.3430
Ge1 0.0000 0.0000 0.5000
Br1 0.0239 0.5871 0.1651
Br2 0.0499 0.1803 0.8398
```